The following is a computed powder X-ray diffraction pattern of LiSi3Pb2Au12. It was derived from a structure optimized by DFT (GGA-PBE), using a wavelength of 1.5418 Å.
Lines closer than 0.1° are merged.

Peak list (10 most intense, 5 to 70 degrees two-theta, in order of falling intensity)
hkl 2 2 0, 2θ 40.1, I 100; hkl 0 2 4, 2θ 31.3, I 54; hkl 2 0 5, 2θ 35.2, I 47; hkl 1 2 2, 2θ 32.2, I 33; hkl 2 0 2, 2θ 25.2, I 30; hkl 1 1 6, 2θ 37.8, I 26; hkl 0 2 1, 2θ 23.4, I 25; hkl 2 2 6, 2θ 52.1, I 23; hkl 0 2 7, 2θ 44.2, I 19; hkl 0 0 6, 2θ 31.9, I 19

Structural model:
```
data_LiSi3Pb2Au12
_cell_length_a 9.0042
_cell_length_b 9.0042
_cell_length_c 16.8382
_cell_angle_alpha 90.00
_cell_angle_beta 90.00
_cell_angle_gamma 120.00
_space_group_name_H-M_alt 'R -3 m'
_space_group_IT_number 166
_space_group_name_Hall '-R 3 2"'
loop_
_atom_site_label
_atom_site_type_symbol
_atom_site_fract_x
_atom_site_fract_y
_atom_site_fract_z
Li1 Li 0.0000 0.0000 0.0000
Si1 Si 0.0000 0.5000 0.5000
Pb1 Pb 0.0000 0.0000 0.3996
Au1 Au 0.0146 0.5073 0.3567
Au2 Au 0.0335 0.5167 0.8168
```

---

The following is a computed powder X-ray diffraction pattern of Li2SnPbAu4. It was derived from a structure optimized by DFT (GGA-PBE), using a wavelength of 1.5418 Å.
Lines closer than 0.1° are merged.

Peak list (10 most intense, 5 to 70 degrees two-theta, in order of falling intensity)
hkl 0 1 8, 2θ 37.0, I 100; hkl 1 1 0, 2θ 37.8, I 99; hkl 1 0 4, 2θ 26.2, I 40; hkl 1 2 8, 2θ 67.7, I 35; hkl 2 0 8, 2θ 53.9, I 34; hkl 0 1 2, 2θ 22.8, I 30; hkl 3 0 0, 2θ 68.3, I 18; hkl 1 0 16, 2θ 66.1, I 16; hkl 0 2 4, 2θ 46.6, I 9; hkl 1 1 6, 2θ 44.3, I 8

Structural model:
```
data_Li2SnPbAu4
_cell_length_a 4.7579
_cell_length_b 4.7579
_cell_length_c 24.0810
_cell_angle_alpha 90.00
_cell_angle_beta 90.00
_cell_angle_gamma 120.00
_space_group_name_H-M_alt 'R -3 m'
_space_group_IT_number 166
_space_group_name_Hall '-R 3 2"'
loop_
_atom_site_label
_atom_site_type_symbol
_atom_site_fract_x
_atom_site_fract_y
_atom_site_fract_z
Li1 Li 0.0000 0.0000 0.2501
Sn1 Sn 0.0000 0.0000 0.0000
Pb1 Pb 0.0000 0.0000 0.5000
Au1 Au 0.0000 0.0000 0.1188
Au2 Au 0.0000 0.0000 0.3713
```

---

The following is a computed powder X-ray diffraction pattern of Li3Pd4Au. It was derived from a structure optimized by DFT (GGA-PBE), using a wavelength of 1.5418 Å.
Lines closer than 0.1° are merged.

Peak list (10 most intense, 5 to 70 degrees two-theta, in order of falling intensity)
hkl 4 0 -1, 2θ 24.6, I 100; hkl 5 1 -1, 2θ 43.1, I 89; hkl 3 1 1, 2θ 42.3, I 83; hkl 2 0 -1, 2θ 19.8, I 80; hkl 1 1 0, 2θ 32.3, I 69; hkl 8 0 0, 2θ 40.2, I 68; hkl 4 0 1, 2θ 30.8, I 48; hkl 2 0 -2, 2θ 38.5, I 39; hkl 2 0 2, 2θ 42.9, I 34; hkl 1 1 -1, 2θ 37.4, I 32

Structural model:
```
data_Li3Pd4Au
_cell_length_a 18.3931
_cell_length_b 2.8022
_cell_length_c 4.6773
_cell_angle_alpha 90.00
_cell_angle_beta 102.41
_cell_angle_gamma 90.00
_space_group_name_H-M_alt 'C 1 2/m 1'
_space_group_IT_number 12
_space_group_name_Hall '-C 2y'
loop_
_atom_site_label
_atom_site_type_symbol
_atom_site_fract_x
_atom_site_fract_y
_atom_site_fract_z
Li1 Li 0.0000 0.0000 0.0000
Li2 Li 0.1297 0.0000 0.4893
Pd1 Pd 0.1206 0.5000 0.9740
Pd2 Pd 0.2475 0.0000 0.2476
Au1 Au 0.0000 0.5000 0.5000
```

---

The following is a computed powder X-ray diffraction pattern of Li12Pd2Au. It was derived from a structure optimized by DFT (GGA-PBE), using a wavelength of 1.5418 Å.
Lines closer than 0.1° are merged.

Peak list (10 most intense, 5 to 70 degrees two-theta, in order of falling intensity)
hkl 0 1 1, 2θ 23.8, I 100; hkl 1 1 -1, 2θ 24.2, I 96; hkl 5 1 1, 2θ 32.5, I 87; hkl 5 0 0, 2θ 21.8, I 56; hkl 6 1 -1, 2θ 35.8, I 55; hkl 5 2 0, 2θ 40.7, I 51; hkl 6 0 -2, 2θ 43.4, I 44; hkl 0 2 0, 2θ 34.0, I 41; hkl 1 0 -2, 2θ 34.2, I 40; hkl 5 3 1, 2θ 59.9, I 36

Structural model:
```
data_Li12Pd2Au
_cell_length_a 20.3545
_cell_length_b 5.2801
_cell_length_c 5.2801
_cell_angle_alpha 90.00
_cell_angle_beta 90.04
_cell_angle_gamma 90.00
_space_group_name_H-M_alt 'P 1 2/c 1'
_space_group_IT_number 13
_space_group_name_Hall '-P 2yc'
loop_
_atom_site_label
_atom_site_type_symbol
_atom_site_fract_x
_atom_site_fract_y
_atom_site_fract_z
Li1 Li 0.0625 0.0626 0.0625
Li2 Li 0.0625 0.4375 0.4374
Li3 Li 0.1824 0.2499 0.7504
Li4 Li 0.3086 0.2501 0.7497
Li5 Li 0.4108 0.0000 0.9999
Li6 Li 0.4108 0.5000 0.9999
Pd1 Pd 0.3155 0.2500 0.2497
Au1 Au 0.5000 0.2500 0.2500
```

---

The following is a computed powder X-ray diffraction pattern of LiPd7Au12. It was derived from a structure optimized by DFT (GGA-PBE), using a wavelength of 1.5418 Å.
Lines closer than 0.1° are merged.

Peak list (10 most intense, 5 to 70 degrees two-theta, in order of falling intensity)
hkl 1 4 0, 2θ 39.6, I 100; hkl 0 3 3, 2θ 41.6, I 54; hkl 2 -1 3, 2θ 35.5, I 40; hkl 4 -2 3, 2θ 44.3, I 37; hkl 5 2 3, 2θ 65.2, I 23; hkl 3 0 0, 2θ 25.6, I 17; hkl 1 0 1, 2θ 13.6, I 11; hkl 4 1 3, 2θ 51.9, I 10; hkl 4 -3 1, 2θ 32.8, I 10; hkl 4 0 1, 2θ 36.1, I 9

Structural model:
```
data_LiPd7Au12
_cell_length_a 12.0369
_cell_length_b 12.0369
_cell_length_c 8.3522
_cell_angle_alpha 90.00
_cell_angle_beta 90.00
_cell_angle_gamma 120.00
_space_group_name_H-M_alt 'R -3'
_space_group_IT_number 148
_space_group_name_Hall '-R 3'
loop_
_atom_site_label
_atom_site_type_symbol
_atom_site_fract_x
_atom_site_fract_y
_atom_site_fract_z
Li1 Li 0.0000 0.0000 0.0000
Pd1 Pd 0.0000 0.0000 0.5000
Pd2 Pd 0.0619 0.2386 0.9188
Au1 Au 0.0518 0.2103 0.2479
Au2 Au 0.0549 0.2458 0.5826
```

---

The following is a computed powder X-ray diffraction pattern of Li2Pd4Au5. It was derived from a structure optimized by DFT (GGA-PBE), using a wavelength of 1.5418 Å.
Lines closer than 0.1° are merged.

Peak list (10 most intense, 5 to 70 degrees two-theta, in order of falling intensity)
hkl 2 2 0, 2θ 39.2, I 100; hkl 1 1 1, 2θ 20.4, I 94; hkl 0 0 3, 2θ 38.9, I 92; hkl 0 2 1, 2θ 40.1, I 86; hkl 0 2 -2, 2θ 42.7, I 71; hkl 1 -1 0, 2θ 32.4, I 45; hkl 1 -1 2, 2θ 35.8, I 35; hkl 1 0 0, 2θ 19.4, I 31; hkl 1 1 -2, 2θ 36.0, I 30; hkl 2 0 -1, 2θ 45.8, I 30

Structural model:
```
data_Li2Pd4Au5
_cell_length_a 5.4792
_cell_length_b 5.5878
_cell_length_c 7.4037
_cell_angle_alpha 86.26
_cell_angle_beta 70.75
_cell_angle_gamma 62.43
_space_group_name_H-M_alt 'P -1'
_space_group_IT_number 2
_space_group_name_Hall '-P 1'
loop_
_atom_site_label
_atom_site_type_symbol
_atom_site_fract_x
_atom_site_fract_y
_atom_site_fract_z
Li1 Li 0.0786 0.1705 0.1686
Pd1 Pd 0.2262 0.5475 0.5058
Pd2 Pd 0.4352 0.3227 0.8126
Au1 Au 0.0611 0.6769 0.1802
Au2 Au 0.4155 0.8233 0.8579
Au3 Au 0.5000 0.0000 0.5000
```

---

The following is a computed powder X-ray diffraction pattern of Li2Pd3Au2. It was derived from a structure optimized by DFT (GGA-PBE), using a wavelength of 1.5418 Å.
Lines closer than 0.1° are merged.

Peak list (10 most intense, 5 to 70 degrees two-theta, in order of falling intensity)
hkl 1 1 2, 2θ 39.5, I 100; hkl 1 1 0, 2θ 24.3, I 26; hkl 0 2 0, 2θ 44.9, I 17; hkl 4 0 1, 2θ 45.9, I 16; hkl 2 0 -1, 2θ 23.5, I 15; hkl 2 0 -3, 2θ 46.8, I 15; hkl 4 2 1, 2θ 66.2, I 11; hkl 2 2 -3, 2θ 66.9, I 10; hkl 0 0 1, 2θ 14.5, I 9; hkl 0 0 2, 2θ 29.3, I 9

Structural model:
```
data_Li2Pd3Au2
_cell_length_a 8.7971
_cell_length_b 4.0379
_cell_length_c 6.1542
_cell_angle_alpha 90.00
_cell_angle_beta 97.28
_cell_angle_gamma 90.00
_space_group_name_H-M_alt 'C 1 2/m 1'
_space_group_IT_number 12
_space_group_name_Hall '-C 2y'
loop_
_atom_site_label
_atom_site_type_symbol
_atom_site_fract_x
_atom_site_fract_y
_atom_site_fract_z
Li1 Li 0.1387 0.0000 0.4177
Pd1 Pd 0.0000 0.0000 0.0000
Pd2 Pd 0.2132 0.5000 0.1483
Au1 Au 0.0774 0.5000 0.7074
```

---

The following is a computed powder X-ray diffraction pattern of Li5Pd2Au. It was derived from a structure optimized by DFT (GGA-PBE), using a wavelength of 1.5418 Å.
Lines closer than 0.1° are merged.

Peak list (10 most intense, 5 to 70 degrees two-theta, in order of falling intensity)
hkl 1 1 4, 2θ 41.2, I 100; hkl 1 1 0, 2θ 29.8, I 99; hkl 1 0 1, 2θ 22.1, I 98; hkl 0 0 4, 2θ 27.8, I 59; hkl 2 0 0, 2θ 42.7, I 45; hkl 2 0 4, 2θ 51.7, I 43; hkl 1 0 3, 2θ 29.7, I 42; hkl 2 1 1, 2θ 48.5, I 25; hkl 1 0 5, 2θ 41.1, I 23; hkl 1 1 8, 2θ 66.0, I 20

Structural model:
```
data_Li5Pd2Au
_cell_length_a 4.2385
_cell_length_b 4.2385
_cell_length_c 12.8450
_cell_angle_alpha 90.00
_cell_angle_beta 90.00
_cell_angle_gamma 90.00
_space_group_name_H-M_alt 'I 4/m m m'
_space_group_IT_number 139
_space_group_name_Hall '-I 4 2'
loop_
_atom_site_label
_atom_site_type_symbol
_atom_site_fract_x
_atom_site_fract_y
_atom_site_fract_z
Li1 Li 0.0000 0.0000 0.0000
Li2 Li 0.0000 0.5000 0.1348
Pd1 Pd 0.0000 0.0000 0.2524
Au1 Au 0.0000 0.0000 0.5000
```

---

The following is a computed powder X-ray diffraction pattern of Li3Pd4Au4. It was derived from a structure optimized by DFT (GGA-PBE), using a wavelength of 1.5418 Å.
Lines closer than 0.1° are merged.

Peak list (10 most intense, 5 to 70 degrees two-theta, in order of falling intensity)
hkl 1 -1 0, 2θ 39.1, I 100; hkl 0 1 1, 2θ 23.7, I 49; hkl 1 1 -1, 2θ 39.2, I 33; hkl 1 0 -6, 2θ 45.8, I 30; hkl 0 0 4, 2θ 23.0, I 27; hkl 0 2 -1, 2θ 45.0, I 22; hkl 1 0 -2, 2θ 33.1, I 22; hkl 1 0 5, 2θ 45.6, I 21; hkl 1 2 4, 2θ 66.0, I 14; hkl 1 2 -7, 2θ 66.2, I 14

Structural model:
```
data_Li3Pd4Au4
_cell_length_a 2.8011
_cell_length_b 4.0278
_cell_length_c 15.6513
_cell_angle_alpha 97.37
_cell_angle_beta 94.94
_cell_angle_gamma 90.05
_space_group_name_H-M_alt 'P -1'
_space_group_IT_number 2
_space_group_name_Hall '-P 1'
loop_
_atom_site_label
_atom_site_type_symbol
_atom_site_fract_x
_atom_site_fract_y
_atom_site_fract_z
Li1 Li 0.0000 0.0000 0.0000
Li2 Li 0.3638 0.3630 0.7268
Pd1 Pd 0.0919 0.0924 0.1836
Pd2 Pd 0.2734 0.2728 0.5463
Au1 Au 0.1809 0.1812 0.3615
Au2 Au 0.4530 0.4531 0.9071
```

---

The following is a computed powder X-ray diffraction pattern of Li3Pd2Au2. It was derived from a structure optimized by DFT (GGA-PBE), using a wavelength of 1.5418 Å.
Lines closer than 0.1° are merged.

Peak list (10 most intense, 5 to 70 degrees two-theta, in order of falling intensity)
hkl 1 0 -2, 2θ 25.2, I 100; hkl 0 0 2, 2θ 19.8, I 83; hkl 1 1 0, 2θ 38.9, I 75; hkl 1 0 3, 2θ 40.8, I 68; hkl 1 1 1, 2θ 41.5, I 45; hkl 0 1 3, 2θ 44.6, I 39; hkl 2 0 -1, 2θ 41.4, I 35; hkl 2 0 1, 2θ 46.2, I 19; hkl 0 1 1, 2θ 34.0, I 18; hkl 0 1 2, 2θ 38.3, I 15

Structural model:
```
data_Li3Pd2Au2
_cell_length_a 4.3656
_cell_length_b 2.7593
_cell_length_c 9.2458
_cell_angle_alpha 90.00
_cell_angle_beta 103.52
_cell_angle_gamma 90.00
_space_group_name_H-M_alt 'P 1 2/m 1'
_space_group_IT_number 10
_space_group_name_Hall '-P 2y'
loop_
_atom_site_label
_atom_site_type_symbol
_atom_site_fract_x
_atom_site_fract_y
_atom_site_fract_z
Li1 Li 0.0000 0.0000 0.0000
Li2 Li 0.2862 0.0000 0.5732
Pd1 Pd 0.4242 0.0000 0.8486
Au1 Au 0.1495 0.5000 0.2994
```

---

The following is a computed powder X-ray diffraction pattern of Li4Pd6Au. It was derived from a structure optimized by DFT (GGA-PBE), using a wavelength of 1.5418 Å.
Lines closer than 0.1° are merged.

Peak list (10 most intense, 5 to 70 degrees two-theta, in order of falling intensity)
hkl 2 0 2, 2θ 36.2, I 100; hkl 2 1 1, 2θ 35.2, I 66; hkl 1 0 1, 2θ 17.9, I 28; hkl 1 0 3, 2θ 33.5, I 26; hkl 2 2 0, 2θ 43.1, I 26; hkl 0 0 4, 2θ 40.1, I 21; hkl 2 1 3, 2θ 45.6, I 19; hkl 2 2 4, 2θ 60.3, I 17; hkl 4 1 1, 2θ 65.6, I 14; hkl 4 0 2, 2θ 66.3, I 13

Structural model:
```
data_Li4Pd6Au
_cell_length_a 5.9404
_cell_length_b 5.9404
_cell_length_c 8.9926
_cell_angle_alpha 90.00
_cell_angle_beta 90.00
_cell_angle_gamma 90.00
_space_group_name_H-M_alt 'I -4 2 m'
_space_group_IT_number 121
_space_group_name_Hall 'I -4 2'
loop_
_atom_site_label
_atom_site_type_symbol
_atom_site_fract_x
_atom_site_fract_y
_atom_site_fract_z
Li1 Li 0.1744 0.1744 0.4300
Pd1 Pd 0.0000 0.5000 0.0000
Pd2 Pd 0.1813 0.1813 0.7159
Au1 Au 0.0000 0.0000 0.0000
```

---

The following is a computed powder X-ray diffraction pattern of Li5Pd3Au3. It was derived from a structure optimized by DFT (GGA-PBE), using a wavelength of 1.5418 Å.
Lines closer than 0.1° are merged.

Peak list (10 most intense, 5 to 70 degrees two-theta, in order of falling intensity)
hkl 1 1 0, 2θ 20.0, I 100; hkl 3 1 0, 2θ 42.3, I 89; hkl 2 0 0, 2θ 23.1, I 78; hkl 2 1 1, 2θ 45.1, I 53; hkl 2 0 1, 2θ 40.0, I 46; hkl 1 0 1, 2θ 34.3, I 40; hkl 2 2 1, 2θ 52.7, I 27; hkl 1 1 1, 2θ 38.2, I 25; hkl 2 1 0, 2θ 30.7, I 23; hkl 3 1 1, 2θ 54.1, I 17

Structural model:
```
data_Li5Pd3Au3
_cell_length_a 8.9008
_cell_length_b 8.9008
_cell_length_c 2.7757
_cell_angle_alpha 90.00
_cell_angle_beta 90.00
_cell_angle_gamma 120.00
_space_group_name_H-M_alt 'P -6 2 m'
_space_group_IT_number 189
_space_group_name_Hall 'P -6 -2'
loop_
_atom_site_label
_atom_site_type_symbol
_atom_site_fract_x
_atom_site_fract_y
_atom_site_fract_z
Li1 Li 0.0000 0.3173 0.0000
Li2 Li 0.3333 0.6667 0.0000
Pd1 Pd 0.0000 0.8276 0.0000
Au1 Au 0.0000 0.5644 0.5000
```

---

The following is a computed powder X-ray diffraction pattern of LiPdAu5. It was derived from a structure optimized by DFT (GGA-PBE), using a wavelength of 1.5418 Å.
Lines closer than 0.1° are merged.

Peak list (10 most intense, 5 to 70 degrees two-theta, in order of falling intensity)
hkl 2 2 0, 2θ 38.7, I 100; hkl 0 2 2, 2θ 38.9, I 98; hkl 2 0 2, 2θ 45.0, I 65; hkl 1 1 0, 2θ 19.1, I 44; hkl 2 4 2, 2θ 65.7, I 43; hkl 0 2 0, 2θ 22.2, I 38; hkl 0 4 0, 2θ 45.3, I 32; hkl 1 3 0, 2θ 37.1, I 25; hkl 2 2 2, 2θ 50.7, I 18; hkl 2 0 0, 2θ 31.2, I 17

Structural model:
```
data_LiPdAu5
_cell_length_a 5.7258
_cell_length_b 8.0100
_cell_length_c 5.6733
_cell_angle_alpha 90.00
_cell_angle_beta 90.00
_cell_angle_gamma 90.00
_space_group_name_H-M_alt 'C m m m'
_space_group_IT_number 65
_space_group_name_Hall '-C 2 2'
loop_
_atom_site_label
_atom_site_type_symbol
_atom_site_fract_x
_atom_site_fract_y
_atom_site_fract_z
Li1 Li 0.0000 0.0000 0.0000
Pd1 Pd 0.0000 0.5000 0.5000
Au1 Au 0.0000 0.5000 0.0000
Au2 Au 0.2500 0.2500 0.2550
```